Structure and computed powder diffractogram of Sr2MgV2Si4O14 (a structure optimized by DFT (GGA+U); Cu Kα, 1.54184 Å).
Lines closer than 0.1° are merged.

Principal peaks in the range 2θ from 10° to 90°, sorted by position:
h k l  two_theta  I_rel
0 0 2  23.7  87
1 2 1  27.6  88
1 1 -1  27.9  30
0 1 -2  29.4  22
1 -2 0  30.1  100
2 0 1  32.1  67
-1 1 2  33.5  30
0 4 1  49.1  34

Atomic structure:
```
data_Sr2MgV2Si4O14
_symmetry_space_group_name_H-M 'P 1'
_symmetry_Int_Tables_number 1
_symmetry_space_group_name_Hall 'P 1'
_cell_length_a 5.5970
_cell_length_b 7.4567
_cell_length_c 8.1766
_cell_angle_alpha 74.93
_cell_angle_beta 70.94
_cell_angle_gamma 84.80
loop_
_atom_site_label
_atom_site_fract_x
_atom_site_fract_y
_atom_site_fract_z
Sr1 0.0000 0.0000 0.0000
Sr2 0.2939 0.6828 0.3394
Mg1 0.8816 0.2733 0.2296
V1 0.1107 0.5829 0.8745
V2 0.2648 0.1765 0.4778
Si1 0.5191 0.2611 0.9397
Si2 0.5741 0.8322 0.8855
Si3 0.7038 0.8818 0.4625
Si4 0.7338 0.4359 0.5125
O1 0.0206 0.3761 0.3997
O2 0.1055 0.0866 0.6999
O3 0.1611 0.5925 0.6521
O4 0.2201 0.3268 0.0120
O5 0.3034 0.7239 0.9815
O6 0.4650 0.9619 0.3934
O7 0.5077 0.0344 0.9467
O8 0.5614 0.3619 0.4137
O9 0.6362 0.3742 0.7281
O10 0.6593 0.8750 0.6700
O11 0.7004 0.2778 0.0524
O12 0.7472 0.6654 0.4369
O13 0.7891 0.7298 0.9731
O14 0.9556 0.9976 0.3267
```